No. 1
Diffraction record for ScInO3. The X-ray diffraction stick pattern is computed, not measured: it uses a structure optimized by DFT (GGA-PBE) and Cu Kα.
Peak positions follow from Bragg's law for the DFT cell and can differ from measured ones.

Top 8 peaks for 2θ from 10° to 90°, most intense first:
| Position (°2θ) | I (rel.) |
| --- | --- |
| 18.1 | 100 |
| 44.9 | 43 |
| 31.7 | 39 |
| 36.1 | 22 |
| 48.8 | 21 |
| 49.3 | 14 |
| 65.8 | 13 |
| 59.4 | 10 |

Crystal structure
Cell: 5.6456 5.6456 2.8875 Å, 90.00 90.00 120.00°
Space group P-6m2 (No. 187)
Unique sites:
Sc (0.0000, 0.0000, 0.0000) [1 per cell]
In (0.3333, 0.6667, 0.0000) [1 per cell]
O (0.1621, 0.3241, 0.5000) [3 per cell]

No. 2
Diffraction record for GaAgF4. The X-ray diffraction stick pattern is computed, not measured: it uses a structure optimized by DFT (GGA-PBE) and Cu Kα.
Peak positions follow from Bragg's law for the DFT cell and can differ from measured ones.

Top 8 peaks for 2θ from 10° to 90°, most intense first:
| Position (°2θ) | I (rel.) |
| --- | --- |
| 22.8 | 100 |
| 33.5 | 94 |
| 23.8 | 71 |
| 47.4 | 63 |
| 48.4 | 32 |
| 59.5 | 29 |
| 33.2 | 29 |
| 48.8 | 19 |

Crystal structure
Cell: 7.468 7.793 3.082 Å, 90.00 90.00 90.00°
Space group Cmmm (No. 65)
Unique sites:
Ga (0.000, 0.000, 0.000) [2 per cell]
Ag (0.000, 0.500, 0.500) [2 per cell]
F (0.000, 0.163, 0.500) [4 per cell]
F (0.248, 0.000, 0.000) [4 per cell]

No. 3
Diffraction record for CrIrSe. The X-ray diffraction stick pattern is computed, not measured: it uses a structure optimized by DFT (GGA-PBE) and Cu Kα.
Peak positions follow from Bragg's law for the DFT cell and can differ from measured ones.

Top 8 peaks for 2θ from 10° to 90°, most intense first:
| Position (°2θ) | I (rel.) |
| --- | --- |
| 42.0 | 100 |
| 36.5 | 58 |
| 64.2 | 55 |
| 46.4 | 45 |
| 38.6 | 26 |
| 28.7 | 25 |
| 35.7 | 25 |
| 21.4 | 24 |

Crystal structure
Cell: 12.442 2.901 5.029 Å, 90.00 90.00 90.00°
Space group Amm2 (No. 38)
Unique sites:
Cr (0.000, 0.000, 0.000) [2 per cell]
Cr (0.500, 0.000, 0.031) [2 per cell]
Ir (0.347, 0.000, 0.697) [4 per cell]
Se (0.137, 0.000, 0.332) [4 per cell]

No. 4
Diffraction record for LiPaTl4O8. The X-ray diffraction stick pattern is computed, not measured: it uses a structure optimized by DFT (GGA-PBE) and Cu Kα.
Peak positions follow from Bragg's law for the DFT cell and can differ from measured ones.

Top 8 peaks for 2θ from 10° to 90°, most intense first:
| Position (°2θ) | I (rel.) |
| --- | --- |
| 30.0 | 100 |
| 27.0 | 47 |
| 52.2 | 42 |
| 30.7 | 37 |
| 32.0 | 35 |
| 31.6 | 34 |
| 16.9 | 30 |
| 45.8 | 25 |

Crystal structure
Cell: 7.0081 7.0081 15.7453 Å, 90.00 90.00 120.00°
Space group R3m (No. 160, hexagonal axes)
Unique sites:
Li (0.0000, 0.0000, 0.0000) [3 per cell]
Pa (0.0000, 0.0000, 0.3864) [3 per cell]
Tl (0.0000, 0.0000, 0.6067) [3 per cell]
Tl (0.1703, 0.3406, 0.8157) [9 per cell]
O (0.0000, 0.0000, 0.2328) [3 per cell]
O (0.0000, 0.0000, 0.7407) [3 per cell]
O (0.0146, 0.5073, 0.7055) [9 per cell]
O (0.0528, 0.5264, 0.1808) [9 per cell]

No. 5
Diffraction record for YMg6Cd6. The X-ray diffraction stick pattern is computed, not measured: it uses a structure optimized by DFT (GGA-PBE) and Cu Kα.
Peak positions follow from Bragg's law for the DFT cell and can differ from measured ones.

Top 8 peaks for 2θ from 10° to 90°, most intense first:
| Position (°2θ) | I (rel.) |
| --- | --- |
| 35.4 | 100 |
| 35.8 | 99 |
| 17.8 | 82 |
| 39.9 | 77 |
| 25.1 | 36 |
| 40.3 | 35 |
| 36.1 | 34 |
| 51.4 | 29 |

Crystal structure
Cell: 5.891 9.954 10.018 Å, 90.00 90.00 90.00°
Space group Immm (No. 71)
Unique sites:
Y (0.000, 0.000, 0.000) [2 per cell]
Mg (0.000, 0.000, 0.349) [4 per cell]
Mg (0.000, 0.350, 0.000) [4 per cell]
Mg (0.000, 0.500, 0.292) [4 per cell]
Cd (0.000, 0.287, 0.500) [4 per cell]
Cd (0.250, 0.250, 0.250) [8 per cell]

No. 6
Diffraction record for Pm3SmEr7. The X-ray diffraction stick pattern is computed, not measured: it uses a structure optimized by DFT (GGA-PBE) and Cu Kα.
Peak positions follow from Bragg's law for the DFT cell and can differ from measured ones.

Top 8 peaks for 2θ from 10° to 90°, most intense first:
| Position (°2θ) | I (rel.) |
| --- | --- |
| 31.9 | 100 |
| 31.6 | 53 |
| 33.0 | 53 |
| 32.5 | 52 |
| 32.1 | 30 |
| 46.3 | 22 |
| 58.4 | 17 |
| 57.7 | 14 |

Crystal structure
Cell: 5.505 6.944 9.991 Å, 69.74 89.97 89.94°
Space group P-1 (No. 2)
Unique sites:
Pm (0.000, 0.000, 0.000) [1 per cell]
Pm (0.500, 0.283, 0.500) [2 per cell]
Sm (0.000, 0.500, 0.000) [1 per cell]
Er (0.000, 0.000, 0.500) [1 per cell]
Er (0.000, 0.416, 0.670) [2 per cell]
Er (0.500, 0.145, 0.211) [2 per cell]
Er (0.500, 0.320, 0.861) [2 per cell]

No. 7
Diffraction record for CePm2Tm3Te6. The X-ray diffraction stick pattern is computed, not measured: it uses a structure optimized by DFT (GGA-PBE) and Cu Kα.
Peak positions follow from Bragg's law for the DFT cell and can differ from measured ones.

Top 8 peaks for 2θ from 10° to 90°, most intense first:
| Position (°2θ) | I (rel.) |
| --- | --- |
| 28.8 | 100 |
| 41.7 | 37 |
| 40.6 | 26 |
| 51.5 | 13 |
| 40.5 | 13 |
| 59.6 | 13 |
| 66.7 | 12 |
| 68.3 | 11 |

Crystal structure
Cell: 19.312 4.323 8.921 Å, 90.00 105.52 90.00°
Space group C2/m (No. 12)
Unique sites:
Ce (0.000, 0.000, 0.000) [2 per cell]
Pm (0.166, 0.500, 0.332) [4 per cell]
Tm (0.000, 0.000, 0.500) [2 per cell]
Tm (0.167, 0.500, 0.835) [4 per cell]
Te (0.004, 0.500, 0.741) [4 per cell]
Te (0.164, 0.000, 0.592) [4 per cell]
Te (0.170, 0.000, 0.076) [4 per cell]

No. 8
Diffraction record for Tb15Y4Ho. The X-ray diffraction stick pattern is computed, not measured: it uses a structure optimized by DFT (GGA-PBE) and Cu Kα.
Peak positions follow from Bragg's law for the DFT cell and can differ from measured ones.

Top 8 peaks for 2θ from 10° to 90°, most intense first:
| Position (°2θ) | I (rel.) |
| --- | --- |
| 30.7 | 100 |
| 35.6 | 51 |
| 61.0 | 42 |
| 51.3 | 36 |
| 83.7 | 18 |
| 86.4 | 16 |
| 64.0 | 12 |
| 75.5 | 6 |

Crystal structure
Cell: 5.038 5.038 25.184 Å, 90.00 90.00 90.00°
Space group P4/mmm (No. 123)
Unique sites:
Tb (0.000, 0.000, 0.000) [1 per cell]
Tb (0.000, 0.000, 0.200) [2 per cell]
Tb (0.000, 0.000, 0.400) [2 per cell]
Tb (0.000, 0.500, 0.099) [4 per cell]
Tb (0.000, 0.500, 0.300) [4 per cell]
Tb (0.000, 0.500, 0.500) [2 per cell]
Y (0.500, 0.500, 0.200) [2 per cell]
Y (0.500, 0.500, 0.400) [2 per cell]
Ho (0.500, 0.500, 0.000) [1 per cell]

No. 9
Diffraction record for Zn2Cd2Sn. The X-ray diffraction stick pattern is computed, not measured: it uses a structure optimized by DFT (GGA-PBE) and Cu Kα.
Peak positions follow from Bragg's law for the DFT cell and can differ from measured ones.

Top 8 peaks for 2θ from 10° to 90°, most intense first:
| Position (°2θ) | I (rel.) |
| --- | --- |
| 36.5 | 100 |
| 35.5 | 70 |
| 34.6 | 24 |
| 44.6 | 23 |
| 66.2 | 22 |
| 26.2 | 17 |
| 69.0 | 16 |
| 65.5 | 15 |

Crystal structure
Cell: 7.999 7.999 3.401 Å, 90.00 90.00 90.00°
Space group P4/mbm (No. 127)
Unique sites:
Zn (0.169, 0.331, 0.000) [4 per cell]
Cd (0.131, 0.631, 0.500) [4 per cell]
Sn (0.000, 0.000, 0.500) [2 per cell]

No. 10
Diffraction record for AsS. The X-ray diffraction stick pattern is computed, not measured: it uses a structure optimized by DFT (GGA-PBE) and Cu Kα.
Peak positions follow from Bragg's law for the DFT cell and can differ from measured ones.

Top 8 peaks for 2θ from 10° to 90°, most intense first:
| Position (°2θ) | I (rel.) |
| --- | --- |
| 17.9 | 100 |
| 34.3 | 71 |
| 29.0 | 40 |
| 47.0 | 35 |
| 38.7 | 33 |
| 30.4 | 19 |
| 35.2 | 17 |
| 50.5 | 16 |

Crystal structure
Cell: 11.355 5.273 9.933 Å, 90.00 90.00 90.00°
Space group Cmc2_1 (No. 36)
Unique sites:
As (0.000, 0.039, 0.000) [4 per cell]
As (0.197, 0.441, 0.461) [8 per cell]
S (0.000, 0.332, 0.839) [4 per cell]
S (0.162, 0.218, 0.120) [8 per cell]

No. 11
Diffraction record for Ta3Cu2S6. The X-ray diffraction stick pattern is computed, not measured: it uses a structure optimized by DFT (GGA-PBE) and Cu Kα.
Peak positions follow from Bragg's law for the DFT cell and can differ from measured ones.

Top 8 peaks for 2θ from 10° to 90°, most intense first:
| Position (°2θ) | I (rel.) |
| --- | --- |
| 13.4 | 100 |
| 46.4 | 76 |
| 37.0 | 70 |
| 31.5 | 58 |
| 30.7 | 45 |
| 54.6 | 34 |
| 27.0 | 19 |
| 74.5 | 18 |

Crystal structure
Cell: 3.357 17.463 13.210 Å, 90.00 90.00 90.00°
Space group Cmc2_1 (No. 36)
Unique sites:
Ta (0.000, 0.056, 0.000) [4 per cell]
Ta (0.000, 0.278, 0.500) [4 per cell]
Ta (0.000, 0.391, 0.000) [4 per cell]
Cu (0.000, 0.053, 0.786) [4 per cell]
Cu (0.000, 0.279, 0.714) [4 per cell]
S (0.000, 0.054, 0.618) [4 per cell]
S (0.000, 0.057, 0.381) [4 per cell]
S (0.000, 0.279, 0.883) [4 per cell]
S (0.000, 0.281, 0.119) [4 per cell]
S (0.000, 0.385, 0.379) [4 per cell]
S (0.000, 0.391, 0.619) [4 per cell]

No. 12
Diffraction record for OsRh5. The X-ray diffraction stick pattern is computed, not measured: it uses a structure optimized by DFT (GGA-PBE) and Cu Kα.
Peak positions follow from Bragg's law for the DFT cell and can differ from measured ones.

Top 8 peaks for 2θ from 10° to 90°, most intense first:
| Position (°2θ) | I (rel.) |
| --- | --- |
| 43.4 | 100 |
| 43.5 | 51 |
| 41.2 | 39 |
| 76.6 | 28 |
| 37.9 | 26 |
| 83.4 | 20 |
| 68.7 | 17 |
| 57.2 | 16 |

Crystal structure
Cell: 4.386 2.742 14.174 Å, 90.00 90.00 90.00°
Space group Amm2 (No. 38)
Unique sites:
Os (0.000, 0.000, 0.000) [2 per cell]
Rh (0.000, 0.000, 0.336) [2 per cell]
Rh (0.000, 0.000, 0.663) [2 per cell]
Rh (0.500, 0.000, 0.110) [2 per cell]
Rh (0.500, 0.000, 0.444) [2 per cell]
Rh (0.500, 0.000, 0.776) [2 per cell]

What did the seventh record say?
Diffraction record for CePm2Tm3Te6. The X-ray diffraction stick pattern is computed, not measured: it uses a structure optimized by DFT (GGA-PBE) and Cu Kα.
Peak positions follow from Bragg's law for the DFT cell and can differ from measured ones.

Top 8 peaks for 2θ from 10° to 90°, most intense first:
| Position (°2θ) | I (rel.) |
| --- | --- |
| 28.8 | 100 |
| 41.7 | 37 |
| 40.6 | 26 |
| 51.5 | 13 |
| 40.5 | 13 |
| 59.6 | 13 |
| 66.7 | 12 |
| 68.3 | 11 |

Crystal structure
Cell: 19.312 4.323 8.921 Å, 90.00 105.52 90.00°
Space group C2/m (No. 12)
Unique sites:
Ce (0.000, 0.000, 0.000) [2 per cell]
Pm (0.166, 0.500, 0.332) [4 per cell]
Tm (0.000, 0.000, 0.500) [2 per cell]
Tm (0.167, 0.500, 0.835) [4 per cell]
Te (0.004, 0.500, 0.741) [4 per cell]
Te (0.164, 0.000, 0.592) [4 per cell]
Te (0.170, 0.000, 0.076) [4 per cell]

- What is the formula in the seventh record?
  CePm2Tm3Te6